# Y2MnCrO6
Calculated powder X-ray diffraction pattern, Cu Kα (λ = 1.5418 Å). Input: DFT lattice parameters and positions (PBE+U).

The 12 most intense peaks (10 to 80 degrees two-theta), low angle first:
| d [Å] | I_rel |
| --- | --- |
| 3.480 | 21.3 |
| 3.465 | 19.6 |
| 2.858 | 39.0 |
| 2.733 | 100.0 |
| 2.719 | 95.4 |
| 2.668 | 55.5 |
| 1.950 | 39.0 |
| 1.906 | 39.0 |
| 1.892 | 19.8 |
| 1.749 | 18.2 |
| 1.552 | 49.5 |
| 1.550 | 23.7 |

Structural model:
```
data_Y2MnCrO6
_chemical_formula_sum 'Y4 Mn2 Cr2 O12'
_cell_length_a 7.6240
_cell_length_b 5.3348
_cell_length_c 5.7164
_cell_angle_alpha 90.00
_cell_angle_beta 90.44
_cell_angle_gamma 90.00
_space_group_name_H-M_alt 'P 1'
_space_group_IT_number 1
loop_
_space_group_symop_operation_xyz
'x,y,z'
loop_
_atom_site_label
_atom_site_type_symbol
_atom_site_fract_x
_atom_site_fract_y
_atom_site_fract_z
Y1 Y 0.2502 0.0190 0.0733
Y2 Y 0.2502 0.4810 0.5733
Y3 Y 0.7498 0.5190 0.4267
Y4 Y 0.7498 0.9810 0.9267
Mn1 Mn 0.5000 0.0000 0.5000
Mn2 Mn 0.5000 0.5000 0.0000
Cr1 Cr 0.0000 0.0000 0.5000
Cr2 Cr 0.0000 0.5000 0.0000
O1 O 0.0578 0.1923 0.8030
O2 O 0.0578 0.3077 0.3030
O3 O 0.2496 0.6153 0.9589
O4 O 0.2496 0.8847 0.4589
O5 O 0.4433 0.2036 0.8205
O6 O 0.4433 0.2964 0.3205
O7 O 0.5567 0.7036 0.6795
O8 O 0.5567 0.7964 0.1795
O9 O 0.7504 0.1153 0.5411
O10 O 0.7504 0.3847 0.0411
O11 O 0.9422 0.6923 0.6970
O12 O 0.9422 0.8077 0.1970
```



# Fe3O4F2
Calculated powder X-ray diffraction pattern, Cu Kα (λ = 1.5418 Å). Input: DFT lattice parameters and positions (PBE+U).

The 12 most intense peaks (10 to 80 degrees two-theta), low angle first:
| d [Å] | I_rel |
| --- | --- |
| 3.537 | 100.0 |
| 3.201 | 89.7 |
| 2.554 | 46.0 |
| 2.533 | 45.5 |
| 2.374 | 17.4 |
| 1.795 | 29.1 |
| 1.773 | 14.8 |
| 1.770 | 28.8 |
| 1.691 | 24.9 |
| 1.601 | 14.5 |
| 1.506 | 15.7 |
| 1.394 | 14.0 |

Structural model:
```
data_Fe3O4F2
_chemical_formula_sum 'Fe6 O8 F4'
_cell_length_a 4.7724
_cell_length_b 5.6620
_cell_length_c 7.6543
_cell_angle_alpha 84.07
_cell_angle_beta 87.00
_cell_angle_gamma 84.81
_space_group_name_H-M_alt 'P 1'
_space_group_IT_number 1
loop_
_space_group_symop_operation_xyz
'x,y,z'
loop_
_atom_site_label
_atom_site_type_symbol
_atom_site_fract_x
_atom_site_fract_y
_atom_site_fract_z
Fe1 Fe 0.0000 0.0000 0.0000
Fe2 Fe 0.0119 0.6803 0.3343
Fe3 Fe 0.4595 0.1426 0.3217
Fe4 Fe 0.5000 0.5000 0.0000
Fe5 Fe 0.5405 0.8574 0.6783
Fe6 Fe 0.9881 0.3197 0.6657
O1 O 0.1793 0.9579 0.2218
O2 O 0.3034 0.4603 0.2285
O3 O 0.3044 0.1261 0.5640
O4 O 0.3099 0.7994 0.8996
O5 O 0.6901 0.2006 0.1004
O6 O 0.6956 0.8739 0.4360
O7 O 0.6966 0.5397 0.7715
O8 O 0.8207 0.0421 0.7782
F1 F 0.1874 0.6167 0.5669
F2 F 0.1973 0.3004 0.8974
F3 F 0.8027 0.6996 0.1026
F4 F 0.8126 0.3833 0.4331
```



# Co2O3
Calculated powder X-ray diffraction pattern, Cu Kα (λ = 1.5418 Å). Input: DFT lattice parameters and positions (PBE+U).

The 12 most intense peaks (10 to 80 degrees two-theta), low angle first:
| d [Å] | I_rel |
| --- | --- |
| 7.608 | 100.0 |
| 4.685 | 29.7 |
| 2.835 | 31.9 |
| 2.698 | 20.2 |
| 2.589 | 61.5 |
| 2.462 | 16.4 |
| 2.199 | 42.0 |
| 2.133 | 36.8 |
| 2.035 | 31.2 |
| 1.513 | 15.1 |
| 1.509 | 22.4 |
| 1.450 | 18.5 |

Structural model:
```
data_Co2O3
_chemical_formula_sum 'Co8 O12'
_cell_length_a 5.1506
_cell_length_b 5.1506
_cell_length_c 15.2164
_cell_angle_alpha 90.00
_cell_angle_beta 90.00
_cell_angle_gamma 145.92
_space_group_name_H-M_alt 'P 1'
_space_group_IT_number 1
loop_
_space_group_symop_operation_xyz
'x,y,z'
loop_
_atom_site_label
_atom_site_type_symbol
_atom_site_fract_x
_atom_site_fract_y
_atom_site_fract_z
Co1 Co 0.0917 0.9083 0.6400
Co2 Co 0.0917 0.9083 0.8600
Co3 Co 0.3620 0.6380 0.5476
Co4 Co 0.3620 0.6380 0.9524
Co5 Co 0.6380 0.3620 0.0476
Co6 Co 0.6380 0.3620 0.4524
Co7 Co 0.9083 0.0917 0.1400
Co8 Co 0.9083 0.0917 0.3600
O1 O 0.0000 0.0000 0.0000
O2 O 0.0000 0.0000 0.5000
O3 O 0.1600 0.8400 0.7500
O4 O 0.2805 0.7195 0.0732
O5 O 0.2805 0.7195 0.4268
O6 O 0.4644 0.5356 0.6472
O7 O 0.4644 0.5356 0.8528
O8 O 0.5356 0.4644 0.1472
O9 O 0.5356 0.4644 0.3528
O10 O 0.7195 0.2805 0.5732
O11 O 0.7195 0.2805 0.9268
O12 O 0.8400 0.1600 0.2500
```



# MgMn6O8F4
Calculated powder X-ray diffraction pattern, Cu Kα (λ = 1.5418 Å). Input: DFT lattice parameters and positions (PBE+U).

The 12 most intense peaks (10 to 80 degrees two-theta), low angle first:
| d [Å] | I_rel |
| --- | --- |
| 3.496 | 100.0 |
| 2.594 | 17.1 |
| 2.586 | 13.0 |
| 2.559 | 10.8 |
| 2.516 | 13.2 |
| 2.505 | 8.9 |
| 1.803 | 11.8 |
| 1.792 | 16.8 |
| 1.747 | 14.8 |
| 1.742 | 10.5 |
| 1.499 | 10.0 |
| 1.451 | 8.7 |

Structural model:
```
data_MgMn6O8F4
_chemical_formula_sum 'Mg1 Mn6 O8 F4'
_cell_length_a 5.6424
_cell_length_b 5.8692
_cell_length_c 7.6457
_cell_angle_alpha 69.77
_cell_angle_beta 69.71
_cell_angle_gamma 74.95
_space_group_name_H-M_alt 'P 1'
_space_group_IT_number 1
loop_
_space_group_symop_operation_xyz
'x,y,z'
loop_
_atom_site_label
_atom_site_type_symbol
_atom_site_fract_x
_atom_site_fract_y
_atom_site_fract_z
Mg1 Mg 0.0000 0.0000 0.0000
Mn1 Mn 0.0000 0.5000 0.0000
Mn2 Mn 0.0000 0.5000 0.5000
Mn3 Mn 0.3755 0.8558 0.1919
Mn4 Mn 0.3809 0.7775 0.6389
Mn5 Mn 0.6191 0.2225 0.3611
Mn6 Mn 0.6245 0.1442 0.8081
O1 O 0.0961 0.6014 0.7068
O2 O 0.2795 0.1715 0.9929
O3 O 0.3577 0.5244 0.3448
O4 O 0.4026 0.9985 0.3804
O5 O 0.5974 0.0015 0.6196
O6 O 0.6423 0.4756 0.6552
O7 O 0.7205 0.8285 0.0071
O8 O 0.9039 0.3986 0.2932
F1 F 0.0207 0.1212 0.7171
F2 F 0.2701 0.7225 0.9516
F3 F 0.7299 0.2775 0.0484
F4 F 0.9793 0.8788 0.2829
```



# AlCuW2O8
Calculated powder X-ray diffraction pattern, Cu Kα (λ = 1.5418 Å). Input: DFT lattice parameters and positions (PBE+U).

The 12 most intense peaks (10 to 80 degrees two-theta), low angle first:
| d [Å] | I_rel |
| --- | --- |
| 5.679 | 21.4 |
| 4.577 | 69.8 |
| 3.762 | 73.3 |
| 3.564 | 59.8 |
| 2.920 | 100.0 |
| 2.892 | 99.6 |
| 2.511 | 33.7 |
| 2.472 | 42.5 |
| 2.169 | 27.3 |
| 1.749 | 31.1 |
| 1.685 | 23.9 |
| 1.674 | 24.8 |

Structural model:
```
data_AlCuW2O8
_chemical_formula_sum 'Al2 Cu2 W4 O16'
_cell_length_a 5.0216
_cell_length_b 5.6788
_cell_length_c 10.3829
_cell_angle_alpha 90.00
_cell_angle_beta 118.16
_cell_angle_gamma 90.00
_space_group_name_H-M_alt 'P 1'
_space_group_IT_number 1
loop_
_space_group_symop_operation_xyz
'x,y,z'
loop_
_atom_site_label
_atom_site_type_symbol
_atom_site_fract_x
_atom_site_fract_y
_atom_site_fract_z
Al1 Al 0.0000 0.1620 0.2500
Al2 Al 0.0000 0.8380 0.7500
Cu1 Cu 0.5000 0.1536 0.7500
Cu2 Cu 0.5000 0.8464 0.2500
W1 W 0.2403 0.3268 0.9972
W2 W 0.2403 0.6732 0.4972
W3 W 0.7597 0.3268 0.5028
W4 W 0.7597 0.6732 0.0028
O1 O 0.1812 0.3870 0.6144
O2 O 0.1812 0.6130 0.1144
O3 O 0.2099 0.1469 0.1397
O4 O 0.2099 0.8531 0.6397
O5 O 0.2487 0.0960 0.8733
O6 O 0.2487 0.9040 0.3733
O7 O 0.3073 0.3846 0.3888
O8 O 0.3073 0.6154 0.8888
O9 O 0.6927 0.3846 0.1112
O10 O 0.6927 0.6154 0.6112
O11 O 0.7513 0.0960 0.6267
O12 O 0.7513 0.9040 0.1267
O13 O 0.7901 0.1469 0.3603
O14 O 0.7901 0.8531 0.8603
O15 O 0.8188 0.3870 0.8856
O16 O 0.8188 0.6130 0.3856
```



# MgVPbO3
Calculated powder X-ray diffraction pattern, Cu Kα (λ = 1.5418 Å). Input: DFT lattice parameters and positions (PBE+U).

The 12 most intense peaks (10 to 80 degrees two-theta), low angle first:
| d [Å] | I_rel |
| --- | --- |
| 6.337 | 79.9 |
| 3.960 | 26.7 |
| 3.374 | 100.0 |
| 3.358 | 63.1 |
| 2.809 | 39.9 |
| 2.568 | 53.2 |
| 2.477 | 73.6 |
| 2.102 | 31.1 |
| 1.993 | 17.7 |
| 1.714 | 18.9 |
| 1.708 | 27.8 |
| 1.688 | 25.9 |

Structural model:
```
data_MgVPbO3
_chemical_formula_sum 'Mg1 V1 Pb1 O3'
_cell_length_a 3.9600
_cell_length_b 3.9860
_cell_length_c 6.3373
_cell_angle_alpha 90.00
_cell_angle_beta 90.00
_cell_angle_gamma 90.00
_space_group_name_H-M_alt 'P 1'
_space_group_IT_number 1
loop_
_space_group_symop_operation_xyz
'x,y,z'
loop_
_atom_site_label
_atom_site_type_symbol
_atom_site_fract_x
_atom_site_fract_y
_atom_site_fract_z
Mg1 Mg 0.0000 0.0000 0.0000
V1 V 0.5000 0.0000 0.3273
Pb1 Pb 0.0000 0.5000 0.6279
O1 O 0.0000 0.0000 0.3238
O2 O 0.5000 0.0000 0.0220
O3 O 0.5000 0.5000 0.4314
```